The following is a simulated powder XRD pattern of RbMg14W. It was derived from the PBE geometry in the Materials Project, using Cu Ka.
Intensities are scaled so that the largest is 1000.

Top 6 peaks for 15° ≤ 2θ ≤ 90°, most intense first:
2θ 35.97, intensity 1000, hkl 2 2 2; 2θ 18.26, intensity 395, hkl 1 0 2; 2θ 37.00, intensity 393, hkl 2 0 4; 2θ 32.52, intensity 360, hkl 0 0 4; 2θ 34.88, intensity 333, hkl 4 0 0; 2θ 31.33, intensity 276, hkl 0 2 2

```
data_RbMg14W
_chemical_formula_sum 'Rb2 Mg28 W2'
_space_group_name_H-M_alt 'A m m 2'
_space_group_IT_number 38
_space_group_name_Hall 'A 2 -2'
_cell_length_a 10.288
_cell_length_b 6.676
_cell_length_c 11.026
_cell_angle_alpha 90.00
_cell_angle_beta 90.00
_cell_angle_gamma 90.00
loop_
_atom_site_label
_atom_site_type_symbol
_atom_site_fract_x
_atom_site_fract_y
_atom_site_fract_z
_atom_site_occupancy
Rb1 Rb 0.000 0.000 0.000 1
Mg1 Mg 0.000 0.245 0.250 1
Mg2 Mg 0.234 0.000 0.658 1
Mg3 Mg 0.251 0.229 0.416 1
Mg4 Mg 0.268 0.000 0.172 1
Mg5 Mg 0.500 0.000 0.497 1
Mg6 Mg 0.500 0.000 0.994 1
Mg7 Mg 0.500 0.243 0.747 1
W1 W 0.000 0.000 0.482 1
```